Structure and theoretical powder XRD pattern of MgFe8O8F8 (the GGA+U geometry in the Materials Project; Cu Kα).
No peak broadening, texture or thermal motion is included.

Cell: 3.0736 9.7109 9.8477 Å, 92.60 90.13 90.12°
Space group P1 (No. 1)
Asymmetric unit:
1 Mg 0.0000 0.0000 0.0000
2 Fe 0.4911 0.4978 0.2536
3 Fe 0.4924 0.4889 0.7699
4 Fe 0.4990 0.0162 0.2514
5 Fe 0.4990 0.0466 0.7348
6 Fe 0.9852 0.2836 0.0078
7 Fe 0.9943 0.2736 0.5285
8 Fe 0.9962 0.7237 0.0512
9 Fe 0.9958 0.7520 0.5164
10 O 0.4874 0.3587 0.1053
11 O 0.4949 0.3721 0.6017
12 O 0.4978 0.8819 0.0837
13 O 0.5028 0.1332 0.9234
14 O 0.9913 0.5982 0.1947
15 O 0.9922 0.4036 0.8550
16 O 0.9986 0.1096 0.1753
17 O 0.9985 0.1275 0.6541
18 F 0.0009 0.9177 0.8157
19 F 0.4949 0.6352 0.4296
20 F 0.4950 0.6475 0.9145
21 F 0.4973 0.1593 0.4190
22 F 0.4967 0.8771 0.5954
23 F 0.9923 0.3933 0.3591
24 F 0.9940 0.6118 0.6783
25 F 0.9972 0.9060 0.3532

Largest 8 diffraction maxima, by intensity, 2θ = 5–70°:
d_spacing  I (rel.)  h k l
3.378  100  0 2 2
3.535  99  0 2 -2
2.596  62  1 -2 0
2.607  56  1 0 -2
1.797  36  1 -4 2
1.767  25  -1 2 4
2.319  24  1 -2 2
1.537  23  2 0 0



Structure and theoretical powder XRD pattern of SrEuNiO4 (the GGA+U geometry in the Materials Project; Cu Kα).
No peak broadening, texture or thermal motion is included.

Cell: 3.8303 3.8303 12.2807 Å, 90.00 90.00 90.00°
Space group I4mm (No. 107)
Asymmetric unit:
1 Sr 0.0000 0.0000 0.0000
2 Eu 0.0000 0.0000 0.7183
3 Ni 0.0000 0.0000 0.3595
4 O 0.0000 0.0000 0.1972
5 O 0.0000 0.0000 0.5278
6 O 0.0000 0.5000 0.3507

Largest 8 diffraction maxima, by intensity, 2θ = 5–70°:
d_spacing  I (rel.)  h k l
2.797  100  1 0 3
2.708  71  1 1 0
1.580  37  2 1 3
1.915  36  2 0 0
2.031  28  1 1 4
3.657  23  1 0 1
2.068  17  1 0 5
6.140  16  0 0 2



Q: Which formula does entry 2 have?
A: SrEuNiO4